Entry 1:
For Tb2TmRh4, a DFT-relaxed cell (GGA-PBE, Alexandria) gives the theoretical powder X-ray diffraction pattern in this record (Cu Kα (weighted mean of Kα1 and Kα2)).
Peak positions follow from Bragg's law for the DFT cell and can differ from measured ones.

Principal peaks in the range 2θ from 15° to 90°, most intense first:
2θ 39.5, rel. 100; 2θ 37.0, rel. 73; 2θ 68.4, rel. 39; 2θ 28.6, rel. 38; 2θ 53.4, rel. 25; 2θ 47.5, rel. 19

```
Tb2TmRh4
1.0
4.856 0.000 0.000
0.000 4.856 0.000
0.000 0.000 12.196
Tb Tm Rh
4 2 8
Direct
0.000 0.000 0.221
0.000 0.000 0.779
0.500 0.500 0.279
0.500 0.500 0.721
0.000 0.000 0.500
0.500 0.500 0.000
0.000 0.500 0.120
0.000 0.500 0.380
0.000 0.500 0.620
0.000 0.500 0.880
0.500 0.000 0.120
0.500 0.000 0.380
0.500 0.000 0.620
0.500 0.000 0.880
```


Entry 2:
For Ho3Al2Au7, a DFT-relaxed cell (GGA-PBE, Alexandria) gives the theoretical powder X-ray diffraction pattern in this record (Cu Kα (weighted mean of Kα1 and Kα2)).
Peak positions follow from Bragg's law for the DFT cell and can differ from measured ones.

Principal peaks in the range 2θ from 15° to 90°, most intense first:
2θ 35.7, rel. 100; 2θ 42.9, rel. 67; 2θ 32.6, rel. 52; 2θ 30.6, rel. 35; 2θ 35.9, rel. 33; 2θ 73.9, rel. 29

```
Ho3Al2Au7
1.0
-2.109 2.109 14.009
2.109 -2.109 14.009
2.109 2.109 -14.009
Ho Al Au
3 2 7
Direct
0.000 0.000 0.000
0.175 0.175 0.000
0.825 0.825 0.000
0.369 0.369 0.000
0.631 0.631 0.000
0.080 0.580 0.500
0.279 0.279 0.000
0.420 0.920 0.500
0.500 0.500 0.000
0.580 0.080 0.500
0.721 0.721 0.000
0.920 0.420 0.500
```


Entry 3:
For UCoCuH6, a DFT-relaxed cell (GGA-PBE, Alexandria) gives the theoretical powder X-ray diffraction pattern in this record (Cu Kα (weighted mean of Kα1 and Kα2)).
Peak positions follow from Bragg's law for the DFT cell and can differ from measured ones.

Principal peaks in the range 2θ from 15° to 90°, most intense first:
2θ 31.8, rel. 100; 2θ 32.0, rel. 99; 2θ 41.4, rel. 73; 2θ 23.5, rel. 59; 2θ 43.2, rel. 21; 2θ 69.7, rel. 18

```
UCoCuH6
1.0
4.190 0.000 0.000
0.008 4.362 0.000
0.032 2.180 3.779
U Co Cu H
1 1 1 6
Direct
0.000 0.000 0.000
0.498 0.667 0.667
0.501 0.333 0.334
0.234 0.508 0.982
0.235 0.511 0.509
0.235 0.981 0.509
0.764 0.508 0.511
0.764 0.511 0.979
0.764 0.980 0.511
```